[1]
Diffraction record for ZnBi2O4. The powder diffractogram is simulated, not measured: it uses a cell relaxed with PBE and Cu Kα, 1.54184 Å.
Peak positions follow from Bragg's law for the DFT cell and can differ from measured ones.

Structural model:
abc: 11.0691 3.3828 11.4271
angles: 90.00 90.00 90.00
Fractional positions:
Zn: 0.1982 0.2500 0.1379
Zn: 0.3018 0.7500 0.6379
Zn: 0.6982 0.2500 0.3621
Zn: 0.8018 0.7500 0.8621
Bi: 0.0954 0.2500 0.3959
Bi: 0.0950 0.2500 0.8706
Bi: 0.4050 0.7500 0.3706
Bi: 0.4046 0.7500 0.8959
Bi: 0.5954 0.2500 0.1041
Bi: 0.5950 0.2500 0.6294
Bi: 0.9050 0.7500 0.1294
Bi: 0.9046 0.7500 0.6041
O: 0.0220 0.2500 0.2049
O: 0.0309 0.2500 0.5924
O: 0.1785 0.7500 0.0196
O: 0.2458 0.7500 0.2576
O: 0.2542 0.2500 0.7576
O: 0.3215 0.2500 0.5196
O: 0.4691 0.7500 0.0924
O: 0.4780 0.7500 0.7049
O: 0.5220 0.2500 0.2951
O: 0.5309 0.2500 0.9076
O: 0.6785 0.7500 0.4804
O: 0.7458 0.7500 0.2424
O: 0.7542 0.2500 0.7424
O: 0.8215 0.2500 0.9804
O: 0.9691 0.7500 0.4076
O: 0.9780 0.7500 0.7951

Largest 6 diffraction maxima, low angle first, 10 to 80 degrees two-theta:
- 2θ = 17.47°, I 42
- 2θ = 28.80°, I 100
- 2θ = 30.98°, I 84
- 2θ = 31.79°, I 73
- 2θ = 44.63°, I 60
- 2θ = 51.89°, I 55

***

[2]
Diffraction record for ZnBi2O4. The powder diffractogram is simulated, not measured: it uses a cell relaxed with PBE and Cu Kα, 1.54184 Å.
Peak positions follow from Bragg's law for the DFT cell and can differ from measured ones.

Structural model:
abc: 5.8948 5.8948 11.2001
angles: 90.00 90.00 147.35
Fractional positions:
Zn: 0.1041 0.8959 0.7500
Zn: 0.8959 0.1041 0.2500
Bi: 0.3674 0.6326 0.5768
Bi: 0.3674 0.6326 0.9232
Bi: 0.6326 0.3674 0.0768
Bi: 0.6326 0.3674 0.4232
O: 0.0000 0.0000 0.0000
O: 0.0000 0.0000 0.5000
O: 0.2789 0.7211 0.1174
O: 0.2789 0.7211 0.3826
O: 0.4981 0.5019 0.2500
O: 0.5019 0.4981 0.7500
O: 0.7211 0.2789 0.6174
O: 0.7211 0.2789 0.8826

Largest 6 diffraction maxima, low angle first, 10 to 80 degrees two-theta:
- 2θ = 15.83°, I 25
- 2θ = 28.06°, I 25
- 2θ = 28.65°, I 100
- 2θ = 31.63°, I 30
- 2θ = 36.08°, I 26
- 2θ = 37.14°, I 26

***

[3]
Diffraction record for ZnBi4O8. The powder diffractogram is simulated, not measured: it uses a cell relaxed with PBE and Cu Kα, 1.54184 Å.
Peak positions follow from Bragg's law for the DFT cell and can differ from measured ones.

Structural model:
abc: 8.7941 8.7941 10.1420
angles: 124.54 124.54 22.36
Fractional positions:
Zn: 0.0000 0.0000 0.0000
Bi: 0.0553 0.0553 0.7339
Bi: 0.3435 0.3435 0.6518
Bi: 0.5554 0.5554 0.3750
Bi: 0.8259 0.8259 0.0204
O: 0.1535 0.1535 0.4474
O: 0.2295 0.2295 0.9579
O: 0.5045 0.5045 0.1244
O: 0.5053 0.5053 0.8590
O: 0.5754 0.5754 0.6088
O: 0.8540 0.8540 0.8289
O: 0.8972 0.8972 0.5751
O: 0.9565 0.9565 0.3076

Largest 6 diffraction maxima, low angle first, 10 to 80 degrees two-theta:
- 2θ = 10.69°, I 26
- 2θ = 12.57°, I 24
- 2θ = 17.49°, I 50
- 2θ = 25.30°, I 42
- 2θ = 30.42°, I 100
- 2θ = 32.27°, I 33

***

[4]
Diffraction record for ZnBi2O4. The powder diffractogram is simulated, not measured: it uses a cell relaxed with PBE and Cu Kα, 1.54184 Å.
Peak positions follow from Bragg's law for the DFT cell and can differ from measured ones.

Structural model:
abc: 6.7443 6.7443 6.7443
angles: 119.75 117.38 92.52
Fractional positions:
Zn: 0.5000 0.0000 0.0000
Zn: 0.5000 0.5000 0.5000
Bi: 0.0000 0.0000 0.0000
Bi: 0.1244 0.3744 0.7500
Bi: 0.5000 0.0000 0.5000
Bi: 0.8756 0.6256 0.2500
O: 0.2671 0.2546 0.4876
O: 0.2671 0.7795 0.0124
O: 0.2877 0.7478 0.5399
O: 0.2921 0.2522 0.0399
O: 0.7079 0.7478 0.9601
O: 0.7123 0.2522 0.4601
O: 0.7329 0.2205 0.9876
O: 0.7329 0.7454 0.5124

Largest 6 diffraction maxima, low angle first, 10 to 80 degrees two-theta:
- 2θ = 26.33°, I 34
- 2θ = 26.46°, I 49
- 2θ = 30.27°, I 100
- 2θ = 30.86°, I 36
- 2θ = 31.67°, I 47
- 2θ = 54.49°, I 46

***

[5]
Diffraction record for ZnBi2O5. The powder diffractogram is simulated, not measured: it uses a cell relaxed with PBE and Cu Kα, 1.54184 Å.
Peak positions follow from Bragg's law for the DFT cell and can differ from measured ones.

Structural model:
abc: 3.6839 5.2981 13.2565
angles: 85.44 82.77 89.96
Fractional positions:
Zn: 0.0000 0.0000 0.0000
Zn: 0.4730 0.2370 0.4925
Bi: 0.1241 0.7374 0.6401
Bi: 0.2123 0.8019 0.3494
Bi: 0.5354 0.5212 0.8785
Bi: 0.8400 0.4600 0.1592
O: 0.0562 0.7166 0.8043
O: 0.2633 0.5812 0.4943
O: 0.3390 0.6451 0.1677
O: 0.4105 0.0688 0.6312
O: 0.5209 0.1125 0.9502
O: 0.6159 0.5316 0.6774
O: 0.7685 0.5427 0.3178
O: 0.9355 0.0845 0.1538
O: 0.9357 0.6106 0.0036
O: 0.9551 0.0750 0.4516

Largest 6 diffraction maxima, low angle first, 10 to 80 degrees two-theta:
- 2θ = 16.79°, I 100
- 2θ = 27.52°, I 97
- 2θ = 29.60°, I 58
- 2θ = 29.84°, I 99
- 2θ = 30.94°, I 89
- 2θ = 34.09°, I 62

***

[6]
Diffraction record for Zn2Bi2O5. The powder diffractogram is simulated, not measured: it uses a cell relaxed with PBE and Cu Kα, 1.54184 Å.
Peak positions follow from Bragg's law for the DFT cell and can differ from measured ones.

Structural model:
abc: 3.5312 7.0615 12.4700
angles: 92.18 92.34 90.47
Fractional positions:
Zn: 0.0000 0.0000 0.0000
Zn: 0.0010 0.7384 0.4970
Zn: 0.0117 0.4972 0.7072
Zn: 0.0237 0.2413 0.2156
Bi: 0.4951 0.2389 0.5034
Bi: 0.5001 0.4408 0.9903
Bi: 0.5242 0.8485 0.2443
Bi: 0.5259 0.8942 0.7496
O: 0.0040 0.2904 0.0531
O: 0.0192 0.7887 0.6564
O: 0.0190 0.9507 0.1586
O: 0.4890 0.9851 0.9372
O: 0.4931 0.8182 0.4450
O: 0.5147 0.6036 0.1298
O: 0.5233 0.5574 0.7768
O: 0.5310 0.1725 0.6633
O: 0.5332 0.1954 0.2784
O: 0.9982 0.4346 0.5363

Largest 6 diffraction maxima, low angle first, 10 to 80 degrees two-theta:
- 2θ = 18.64°, I 73
- 2θ = 19.37°, I 69
- 2θ = 25.24°, I 71
- 2θ = 28.68°, I 100
- 2θ = 31.43°, I 53
- 2θ = 32.63°, I 74

***

[7]
Diffraction record for ZnBi2O5. The powder diffractogram is simulated, not measured: it uses a cell relaxed with PBE and Cu Kα, 1.54184 Å.
Peak positions follow from Bragg's law for the DFT cell and can differ from measured ones.

Structural model:
abc: 5.9074 5.9074 10.9271
angles: 90.00 90.00 136.89
Fractional positions:
Zn: 0.1829 0.8171 0.7500
Zn: 0.8171 0.1829 0.2500
Bi: 0.1402 0.8598 0.0706
Bi: 0.1402 0.8598 0.4294
Bi: 0.8598 0.1402 0.5706
Bi: 0.8598 0.1402 0.9294
O: 0.0543 0.9457 0.6147
O: 0.0543 0.9457 0.8853
O: 0.2408 0.7592 0.2500
O: 0.3033 0.6967 0.5798
O: 0.3033 0.6967 0.9202
O: 0.6967 0.3033 0.0798
O: 0.6967 0.3033 0.4202
O: 0.7592 0.2408 0.7500
O: 0.9457 0.0543 0.1147
O: 0.9457 0.0543 0.3853

Largest 6 diffraction maxima, low angle first, 10 to 80 degrees two-theta:
- 2θ = 16.19°, I 59
- 2θ = 22.02°, I 100
- 2θ = 29.42°, I 100
- 2θ = 31.97°, I 60
- 2θ = 33.12°, I 78
- 2θ = 51.78°, I 43

***

[8]
Diffraction record for ZnBiO3. The powder diffractogram is simulated, not measured: it uses a cell relaxed with PBE and Cu Kα, 1.54184 Å.
Peak positions follow from Bragg's law for the DFT cell and can differ from measured ones.

Structural model:
abc: 5.6518 5.5904 10.0190
angles: 90.00 122.85 90.00
Fractional positions:
Zn: 0.2264 0.0204 0.2480
Zn: 0.2264 0.4796 0.7480
Zn: 0.7736 0.5204 0.2520
Zn: 0.7736 0.9796 0.7520
Bi: 0.0000 0.0000 0.5000
Bi: 0.0000 0.5000 0.0000
Bi: 0.5000 0.0000 0.0000
Bi: 0.5000 0.5000 0.5000
O: 0.1287 0.1275 0.7660
O: 0.1287 0.3725 0.2660
O: 0.2433 0.6454 0.5749
O: 0.2433 0.8546 0.0749
O: 0.4464 0.1688 0.5851
O: 0.4464 0.3312 0.0851
O: 0.5536 0.6688 0.9149
O: 0.5536 0.8312 0.4149
O: 0.7567 0.1454 0.9251
O: 0.7567 0.3546 0.4251
O: 0.8713 0.6275 0.7340
O: 0.8713 0.8725 0.2340

Largest 6 diffraction maxima, low angle first, 10 to 80 degrees two-theta:
- 2θ = 22.37°, I 54
- 2θ = 30.66°, I 100
- 2θ = 31.24°, I 96
- 2θ = 31.67°, I 45
- 2θ = 32.02°, I 44
- 2θ = 56.54°, I 43